1.
Computed powder diffraction line list of Dy2SiSeO4 for CuKα, from a cell relaxed with PBE.
Neutral-atom scattering factors, no anomalous dispersion.

Principal peaks in the range 2θ from 5° to 70°, by angle:
21.06°, rel. 51; 21.98°, rel. 44; 25.45°, rel. 45; 29.51°, rel. 34; 30.44°, rel. 100; 33.01°, rel. 72; 33.25°, rel. 63; 36.29°, rel. 56; 40.92°, rel. 38; 44.86°, rel. 39; 52.32°, rel. 34; 69.80°, rel. 25

Crystal structure
Unit cell a=6.0653 b=6.9839 c=10.8543 alpha=90.00 beta=90.00 gamma=90.00
Positions (direct):
Dy 0.1096 0.2500 0.0000
Dy 0.1096 0.2500 0.5000
Dy 0.3662 0.5287 0.2500
Dy 0.3662 0.9713 0.7500
Dy 0.6338 0.0287 0.2500
Dy 0.6338 0.4713 0.7500
Dy 0.8904 0.7500 0.0000
Dy 0.8904 0.7500 0.5000
Si 0.3852 0.7500 0.0000
Si 0.3852 0.7500 0.5000
Si 0.6148 0.2500 0.0000
Si 0.6148 0.2500 0.5000
Se 0.0710 0.6305 0.7500
Se 0.0710 0.8695 0.2500
Se 0.9290 0.1305 0.7500
Se 0.9290 0.3695 0.2500
O 0.2222 0.5686 0.0316
O 0.2222 0.5686 0.4684
O 0.2222 0.9314 0.5316
O 0.2222 0.9314 0.9684
O 0.4483 0.2398 0.6206
O 0.4483 0.2398 0.8794
O 0.4483 0.2602 0.1206
O 0.4483 0.2602 0.3794
O 0.5517 0.7398 0.6206
O 0.5517 0.7398 0.8794
O 0.5517 0.7602 0.1206
O 0.5517 0.7602 0.3794
O 0.7778 0.0686 0.0316
O 0.7778 0.0686 0.4684
O 0.7778 0.4314 0.5316
O 0.7778 0.4314 0.9684

***

2.
Computed powder diffraction line list of Sr2DySeO6 for CuKα, from a cell relaxed with PBE.
Neutral-atom scattering factors, no anomalous dispersion.

Principal peaks in the range 2θ from 5° to 70°, by angle:
18.60°, rel. 7; 21.51°, rel. 8; 30.60°, rel. 100; 36.05°, rel. 6; 43.83°, rel. 32; 48.00°, rel. 4; 49.32°, rel. 3; 54.40°, rel. 40; 58.00°, rel. 2; 63.71°, rel. 20; 67.01°, rel. 2; 68.09°, rel. 1

Crystal structure
Unit cell a=5.8424 b=5.8424 c=5.8424 alpha=60.00 beta=60.00 gamma=60.00
Positions (direct):
Sr 0.2500 0.2500 0.2500
Sr 0.7500 0.7500 0.7500
Dy 0.0000 0.0000 0.0000
Se 0.5000 0.5000 0.5000
O 0.2655 0.2655 0.7345
O 0.2655 0.7345 0.2655
O 0.2655 0.7345 0.7345
O 0.7345 0.2655 0.2655
O 0.7345 0.2655 0.7345
O 0.7345 0.7345 0.2655

***

3.
Computed powder diffraction line list of Dy2Si2O7 for CuKα, from a cell relaxed with PBE.
Neutral-atom scattering factors, no anomalous dispersion.

Principal peaks in the range 2θ from 5° to 70°, by angle:
13.28°, rel. 29; 15.02°, rel. 28; 20.11°, rel. 100; 26.71°, rel. 35; 28.35°, rel. 33; 29.49°, rel. 91; 29.56°, rel. 45; 30.35°, rel. 60; 31.77°, rel. 38; 32.80°, rel. 34; 42.41°, rel. 29; 50.13°, rel. 35

Crystal structure
Unit cell a=6.6605 b=6.6943 c=12.1542 alpha=94.32 beta=91.32 gamma=91.97
Positions (direct):
Dy 0.0510 0.3275 0.1149
Dy 0.1180 0.0901 0.3565
Dy 0.3265 0.8269 0.1092
Dy 0.3677 0.2171 0.6339
Dy 0.6323 0.7829 0.3661
Dy 0.6735 0.1731 0.8908
Dy 0.8820 0.9099 0.6435
Dy 0.9490 0.6725 0.8851
Si 0.1449 0.6258 0.3787
Si 0.1548 0.1484 0.8850
Si 0.3769 0.7249 0.5940
Si 0.4872 0.6656 0.8246
Si 0.5128 0.3344 0.1754
Si 0.6231 0.2751 0.4060
Si 0.8452 0.8516 0.1150
Si 0.8551 0.3742 0.6213
O 0.9999 0.3332 0.9185
O 0.0001 0.6668 0.0815
O 0.0005 0.9858 0.8150
O 0.0373 0.2282 0.5803
O 0.0762 0.4158 0.3104
O 0.2263 0.9037 0.6229
O 0.2305 0.0841 0.0050
O 0.2839 0.5744 0.4889
O 0.2898 0.7819 0.3123
O 0.2995 0.7060 0.9053
O 0.3484 0.2094 0.8147
O 0.3553 0.4887 0.1263
O 0.3824 0.1374 0.2115
O 0.4003 0.5680 0.6941
O 0.4139 0.1741 0.4475
O 0.5861 0.8259 0.5525
O 0.5997 0.4320 0.3059
O 0.6176 0.8626 0.7885
O 0.6447 0.5113 0.8737
O 0.6516 0.7906 0.1853
O 0.7005 0.2940 0.0947
O 0.7102 0.2181 0.6877
O 0.7161 0.4256 0.5111
O 0.7695 0.9159 0.9950
O 0.7737 0.0963 0.3771
O 0.9238 0.5842 0.6896
O 0.9627 0.7718 0.4197
O 0.9995 0.0142 0.1850